Theoretical PXRD pattern of ZrNiO6F6 for Cu Kα, 1.54184 Å, from DFT lattice parameters and positions (GGA+U).

Cell and atoms:
Cell: 5.872 5.872 5.872 Å, 85.97 85.97 85.97°
Fractional positions:
Zr: 0.000 0.000 0.000
Ni: 0.500 0.500 0.500
O: 0.208 0.412 0.554
O: 0.412 0.554 0.208
O: 0.446 0.792 0.588
O: 0.554 0.208 0.412
O: 0.588 0.446 0.792
O: 0.792 0.588 0.446
F: 0.133 0.737 0.811
F: 0.189 0.867 0.263
F: 0.263 0.189 0.867
F: 0.737 0.811 0.133
F: 0.811 0.133 0.737
F: 0.867 0.263 0.189

Most intense lines, 2θ from 10° to 90°, in order of rising 2θ:
d_spacing  intensity
4.276  100
4.004  53
2.923  9
2.361  41
2.138  18
1.886  23
1.813  11
1.650  13
1.570  11
1.513  10
1.425  8
1.343  9